[1]
The following is a computed powder X-ray diffraction pattern of CsZn2P2HO8. It was derived from a cell relaxed with PBE, using Cu Kα X-rays.

Cell and atoms:
a b c (Å): 8.744 8.744 7.924
angles (deg): 90.00 90.00 134.91
Positions (direct):
Cs 0.000 0.000 0.000
Cs 0.500 0.500 0.500
Zn 0.017 0.483 0.250
Zn 0.483 0.017 0.750
Zn 0.517 0.983 0.250
Zn 0.983 0.517 0.750
P 0.143 0.857 0.461
P 0.357 0.643 0.961
P 0.643 0.357 0.039
P 0.857 0.143 0.539
H 0.000 0.000 0.500
H 0.500 0.500 0.000
O 0.035 0.351 0.438
O 0.053 0.947 0.391
O 0.149 0.465 0.062
O 0.203 0.797 0.302
O 0.297 0.703 0.802
O 0.351 0.035 0.562
O 0.447 0.553 0.891
O 0.465 0.149 0.938
O 0.535 0.851 0.062
O 0.553 0.447 0.109
O 0.649 0.965 0.438
O 0.703 0.297 0.198
O 0.797 0.203 0.698
O 0.851 0.535 0.938
O 0.947 0.053 0.609
O 0.965 0.649 0.562

The 6 most intense peaks (2θ from 10° to 90°), sorted by position:
2θ (°)  I_rel
23.99  100
25.03  79
28.83  59
35.06  34
40.51  30
41.79  29



[2]
The following is a computed powder X-ray diffraction pattern of CsSbH4O5. It was derived from a cell relaxed with PBE, using Cu Kα X-rays.

Cell and atoms:
a b c (Å): 6.765 6.771 7.504
angles (deg): 70.06 87.01 64.44
Positions (direct):
Cs 0.014 0.170 0.211
Cs 0.986 0.830 0.789
Sb 0.377 0.458 0.361
Sb 0.623 0.542 0.639
H 0.043 0.342 0.690
H 0.377 0.091 0.630
H 0.437 0.297 0.802
H 0.492 0.270 0.106
H 0.508 0.730 0.894
H 0.563 0.703 0.198
H 0.623 0.909 0.370
H 0.957 0.658 0.310
O 0.075 0.632 0.222
O 0.277 0.262 0.581
O 0.319 0.687 0.496
O 0.468 0.211 0.243
O 0.474 0.657 0.135
O 0.526 0.343 0.865
O 0.532 0.789 0.757
O 0.681 0.313 0.504
O 0.723 0.738 0.419
O 0.925 0.368 0.778

The 6 most intense peaks (2θ from 10° to 90°), sorted by position:
2θ (°)  I_rel
15.95  54
18.24  88
23.30  75
25.30  53
26.60  100
28.47  53



[3]
The following is a computed powder X-ray diffraction pattern of CsH3Se2O6. It was derived from a cell relaxed with PBE, using Cu Kα X-rays.

Cell and atoms:
a b c (Å): 6.004 6.729 9.628
angles (deg): 91.91 106.62 91.87
Positions (direct):
Cs 0.000 0.000 0.000
Cs 0.224 0.516 0.341
H 0.351 0.045 0.412
H 0.573 0.770 0.679
H 0.585 0.274 0.148
H 0.632 0.288 0.655
H 0.648 0.768 0.205
H 0.884 0.475 0.937
Se 0.307 0.022 0.695
Se 0.504 0.513 0.962
Se 0.730 0.030 0.383
Se 0.937 0.525 0.662
O 0.024 0.430 0.830
O 0.212 0.089 0.518
O 0.399 0.771 0.674
O 0.416 0.019 0.324
O 0.438 0.327 0.075
O 0.470 0.723 0.051
O 0.563 0.153 0.765
O 0.673 0.374 0.578
O 0.764 0.789 0.308
O 0.786 0.184 0.263
O 0.818 0.505 0.025
O 0.832 0.751 0.686

The 6 most intense peaks (2θ from 10° to 90°), sorted by position:
2θ (°)  I_rel
23.76  54
24.74  53
24.96  100
26.54  38
29.07  36
29.79  28



[4]
The following is a computed powder X-ray diffraction pattern of CsHSeO3. It was derived from a cell relaxed with PBE, using Cu Kα X-rays.

Cell and atoms:
a b c (Å): 6.230 13.797 6.029
angles (deg): 90.00 90.00 90.00
Positions (direct):
Cs 0.097 0.131 0.000
Cs 0.403 0.631 0.500
Cs 0.597 0.369 0.000
Cs 0.903 0.869 0.500
H 0.032 0.847 0.006
H 0.468 0.347 0.506
H 0.532 0.653 0.006
H 0.968 0.153 0.506
Se 0.093 0.346 0.448
Se 0.407 0.846 0.948
Se 0.593 0.154 0.448
Se 0.907 0.654 0.948
O 0.085 0.348 0.169
O 0.142 0.902 0.006
O 0.159 0.229 0.518
O 0.341 0.729 0.018
O 0.358 0.402 0.506
O 0.415 0.848 0.669
O 0.585 0.152 0.169
O 0.642 0.598 0.006
O 0.659 0.271 0.518
O 0.841 0.771 0.018
O 0.858 0.098 0.506
O 0.915 0.652 0.669

The 6 most intense peaks (2θ from 10° to 90°), sorted by position:
2θ (°)  I_rel
21.50  39
24.27  100
25.83  36
28.30  26
29.40  36
29.64  31



Number 1 is which compound?
CsZn2P2HO8



What is the formula in the fourth record?
CsHSeO3